No. 1
Calculated powder diffractogram
Compound: NdNiAs
Radiation: Cu Kα, 1.54184 Å
Structure: the PBE geometry in the Materials Project
Peak positions follow from Bragg's law for the DFT cell and can differ from measured ones.

```
data_NdNiAs
_cell_length_a 4.1462
_cell_length_b 4.1462
_cell_length_c 4.0295
_cell_angle_alpha 90.00
_cell_angle_beta 90.00
_cell_angle_gamma 120.00
_space_group_name_H-M_alt 'P -6 m 2'
_space_group_IT_number 187
_space_group_name_Hall 'P -6 2'
loop_
_atom_site_label
_atom_site_type_symbol
_atom_site_fract_x
_atom_site_fract_y
_atom_site_fract_z
_atom_site_occupancy
Nd1 Nd 0.0000 0.0000 0.0000 1
Ni1 Ni 0.6667 0.3333 0.5000 1
As1 As 0.3333 0.6667 0.5000 1
```

Principal peaks in the range 10° ≤ 2θ ≤ 90°, in order of falling intensity:
- (1 0 1), 33.4°, d 2.681, I 100
- (1 1 0), 43.7°, d 2.073, I 42
- (1 1 2), 64.5°, d 1.445, I 25
- (2 0 1), 56.1°, d 1.640, I 22
- (2 1 1), 73.7°, d 1.286, I 20
- (0 0 2), 45.0°, d 2.015, I 13
- (1 0 0), 24.8°, d 3.591, I 12
- (1 0 3), 75.6°, d 1.258, I 9
- (3 0 0), 80.2°, d 1.197, I 7
- (1 0 2), 52.0°, d 1.757, I 3

=====

No. 2
Calculated powder diffractogram
Compound: CdCu2SnTe4
Radiation: Cu Kα, 1.54184 Å
Structure: the PBE geometry in the Materials Project
Peak positions follow from Bragg's law for the DFT cell and can differ from measured ones.

```
data_CdCu2SnTe4
_cell_length_a 6.2866
_cell_length_b 6.2866
_cell_length_c 12.5284
_cell_angle_alpha 90.00
_cell_angle_beta 90.00
_cell_angle_gamma 90.00
_space_group_name_H-M_alt 'I -4 2 m'
_space_group_IT_number 121
_space_group_name_Hall 'I -4 2'
loop_
_atom_site_label
_atom_site_type_symbol
_atom_site_fract_x
_atom_site_fract_y
_atom_site_fract_z
_atom_site_occupancy
Cd1 Cd 0.0000 0.0000 0.0000 1
Cu1 Cu 0.0000 0.5000 0.2500 1
Sn1 Sn 0.0000 0.0000 0.5000 1
Te1 Te 0.2483 0.2483 0.3578 1
```

Principal peaks in the range 10° ≤ 2θ ≤ 90°, in order of falling intensity:
- (1 1 2), 24.6°, d 3.625, I 100
- (2 2 0), 40.6°, d 2.220, I 74
- (3 1 2), 48.0°, d 1.895, I 32
- (4 2 4), 73.9°, d 1.282, I 16
- (1 1 6), 48.1°, d 1.890, I 13
- (3 1 6), 64.7°, d 1.440, I 10
- (4 0 0), 58.7°, d 1.572, I 9
- (5 1 2), 79.2°, d 1.210, I 7
- (3 3 2), 64.6°, d 1.442, I 6
- (2 0 2), 31.9°, d 2.809, I 6

=====

No. 3
Calculated powder diffractogram
Compound: K3LuB2P2O14
Radiation: Cu Kα, 1.54184 Å
Structure: the PBE geometry in the Materials Project
Peak positions follow from Bragg's law for the DFT cell and can differ from measured ones.

```
data_K3LuB2P2O14
_cell_length_a 5.6288
_cell_length_b 5.6288
_cell_length_c 37.8613
_cell_angle_alpha 90.00
_cell_angle_beta 90.00
_cell_angle_gamma 120.00
_space_group_name_H-M_alt 'R -3'
_space_group_IT_number 148
_space_group_name_Hall '-R 3'
loop_
_atom_site_label
_atom_site_type_symbol
_atom_site_fract_x
_atom_site_fract_y
_atom_site_fract_z
_atom_site_occupancy
K1 K 0.0000 0.0000 0.0000 1
K2 K 0.0000 0.0000 0.1015 1
Lu1 Lu 0.0000 0.0000 0.5000 1
B1 B 0.0000 0.0000 0.3861 1
P1 P 0.0000 0.0000 0.2123 1
O1 O 0.0000 0.0000 0.2542 1
O2 O 0.0329 0.5245 0.8666 1
O3 O 0.0631 0.4643 0.2818 1
```

Principal peaks in the range 10° ≤ 2θ ≤ 90°, in order of falling intensity:
- (1 0 10), 29.9°, d 2.990, I 100
- (1 0 7), 24.6°, d 3.621, I 99
- (1 1 0), 31.8°, d 2.814, I 83
- (0 1 8), 26.2°, d 3.396, I 75
- (1 0 4), 20.5°, d 4.334, I 71
- (0 1 2), 18.8°, d 4.721, I 56
- (2 -1 3), 32.6°, d 2.747, I 41
- (0 0 18), 43.1°, d 2.101, I 38
- (2 0 8), 41.7°, d 2.167, I 36
- (2 0 14), 50.4°, d 1.809, I 36

=====

No. 4
Calculated powder diffractogram
Compound: KZrPCO7
Radiation: Cu Kα, 1.54184 Å
Structure: the PBE geometry in the Materials Project
Peak positions follow from Bragg's law for the DFT cell and can differ from measured ones.

```
data_KZrPCO7
_cell_length_a 5.8625
_cell_length_b 6.7141
_cell_length_c 10.0506
_cell_angle_alpha 90.00
_cell_angle_beta 90.77
_cell_angle_gamma 90.00
_space_group_name_H-M_alt 'P 1 21 1'
_space_group_IT_number 4
loop_
_space_group_symop_operation_xyz
'x,y,z'
'-x,y+1/2,-z'
loop_
_atom_site_label
_atom_site_type_symbol
_atom_site_fract_x
_atom_site_fract_y
_atom_site_fract_z
_atom_site_occupancy
K1 K 0.2466 0.0000 0.2178 1
Zr1 Zr 0.2778 0.1752 0.6523 1
P1 P 0.2286 0.6815 0.5502 1
C1 C 0.2223 0.2206 0.9057 1
O1 O 0.0197 0.1818 0.5047 1
O2 O 0.0517 0.2025 0.8150 1
O3 O 0.1951 0.2442 0.0255 1
O4 O 0.2685 0.8663 0.6396 1
O5 O 0.2708 0.4945 0.6357 1
O6 O 0.3960 0.6893 0.4323 1
O7 O 0.4256 0.2100 0.8451 1
```

Principal peaks in the range 10° ≤ 2θ ≤ 90°, in order of falling intensity:
- (0 1 1), 15.9°, d 5.583, I 100
- (1 1 0), 20.1°, d 4.416, I 70
- (1 0 -2), 23.2°, d 3.841, I 55
- (2 0 0), 30.5°, d 2.929, I 54
- (0 2 0), 26.6°, d 3.357, I 49
- (1 0 1), 17.6°, d 5.034, I 42
- (1 2 1), 32.0°, d 2.793, I 34
- (1 1 2), 27.0°, d 3.301, I 31
- (1 0 2), 23.5°, d 3.790, I 30
- (1 0 -1), 17.4°, d 5.093, I 27

=====

No. 5
Calculated powder diffractogram
Compound: MgMoWS4
Radiation: Cu Kα, 1.54184 Å
Structure: the PBE geometry in the Materials Project
Peak positions follow from Bragg's law for the DFT cell and can differ from measured ones.

```
data_MgMoWS4
_cell_length_a 3.1985
_cell_length_b 3.1985
_cell_length_c 28.6835
_cell_angle_alpha 90.00
_cell_angle_beta 90.00
_cell_angle_gamma 120.00
_space_group_name_H-M_alt 'P 3 m 1'
_space_group_IT_number 156
loop_
_space_group_symop_operation_xyz
'x,y,z'
'-y,x-y,z'
'-x+y,-x,z'
'-y,-x,z'
'-x+y,y,z'
'x,x-y,z'
loop_
_atom_site_label
_atom_site_type_symbol
_atom_site_fract_x
_atom_site_fract_y
_atom_site_fract_z
_atom_site_occupancy
Mg1 Mg 0.0000 0.0000 0.0000 1
Mo1 Mo 0.6667 0.3333 0.8497 1
W1 W 0.0000 0.0000 0.1680 1
S1 S 0.0000 0.0000 0.7955 1
S2 S 0.0000 0.0000 0.9043 1
S3 S 0.6667 0.3333 0.1130 1
S4 S 0.6667 0.3333 0.2228 1
```

Principal peaks in the range 10° ≤ 2θ ≤ 90°, in order of falling intensity:
- (1 0 8), 41.2°, d 2.192, I 100
- (0 0 4), 12.3°, d 7.171, I 100
- (1 0 5), 36.0°, d 2.494, I 92
- (1 0 11), 47.9°, d 1.899, I 70
- (0 0 6), 18.6°, d 4.781, I 61
- (0 1 7), 39.3°, d 2.295, I 56
- (0 1 4), 34.7°, d 2.584, I 56
- (0 1 1), 32.5°, d 2.757, I 55
- (1 1 0), 57.7°, d 1.598, I 51
- (1 0 0), 32.3°, d 2.770, I 50

=====

No. 6
Calculated powder diffractogram
Compound: KPt3O4
Radiation: Cu Kα, 1.54184 Å
Structure: the PBE geometry in the Materials Project
Peak positions follow from Bragg's law for the DFT cell and can differ from measured ones.

```
data_KPt3O4
_cell_length_a 5.8613
_cell_length_b 5.8613
_cell_length_c 5.8613
_cell_angle_alpha 90.00
_cell_angle_beta 90.00
_cell_angle_gamma 90.00
_space_group_name_H-M_alt 'P m -3 n'
_space_group_IT_number 223
_space_group_name_Hall '-P 4n 2 3'
loop_
_atom_site_label
_atom_site_type_symbol
_atom_site_fract_x
_atom_site_fract_y
_atom_site_fract_z
_atom_site_occupancy
K1 K 0.0000 0.0000 0.0000 1
Pt1 Pt 0.0000 0.2500 0.5000 1
O1 O 0.2500 0.2500 0.2500 1
```

Principal peaks in the range 10° ≤ 2θ ≤ 90°, in order of falling intensity:
- (2 1 0), 34.2°, d 2.621, I 100
- (2 1 1), 37.6°, d 2.393, I 28
- (3 2 0), 56.6°, d 1.626, I 24
- (1 1 0), 21.4°, d 4.145, I 24
- (4 2 1), 74.1°, d 1.279, I 22
- (2 2 2), 54.2°, d 1.692, I 22
- (3 2 1), 59.0°, d 1.566, I 15
- (4 0 0), 63.5°, d 1.465, I 13
- (2 0 0), 30.5°, d 2.931, I 6
- (3 1 0), 49.2°, d 1.853, I 6